(1)
For LiCuSbO4, a crystal structure in the Materials Project, relaxed with PBE gives the theoretical XRD peak list in this record (a wavelength of 1.5418 Å).

Unit cell a=6.231 b=6.231 c=6.231 alpha=123.92 beta=121.35 gamma=85.51
Element x y z (fractional)
Li (0.400, 0.150, 0.250)
Li (0.600, 0.850, 0.750)
Cu (0.000, 0.000, 0.500)
Cu (0.000, 0.500, 0.000)
Sb (0.000, 0.500, 0.500)
Sb (0.500, 0.500, 0.000)
O (0.189, 0.718, 0.470)
O (0.252, 0.282, 0.970)
O (0.264, 0.285, 0.521)
O (0.264, 0.744, 0.979)
O (0.736, 0.256, 0.021)
O (0.736, 0.715, 0.479)
O (0.748, 0.718, 0.030)
O (0.811, 0.282, 0.530)

Largest 12 diffraction maxima, in order of rising 2θ, 2θ from 5° to 70°:
two_theta  d_spacing  Rel. int.
17.5  5.078  30
18.0  4.934  100
32.8  2.729  10
33.1  2.706  16
34.6  2.595  37
35.4  2.538  28
36.4  2.467  16
39.4  2.288  23
42.8  2.113  38
44.8  2.025  10
56.9  1.619  10
59.6  1.552  26



(2)
For Li2Cu3Se4O14, a crystal structure in the Materials Project, relaxed with PBE gives the theoretical XRD peak list in this record (a wavelength of 1.5418 Å).

Unit cell a=10.943 b=10.943 c=14.886 alpha=128.34 beta=128.34 gamma=26.76
Element x y z (fractional)
Li (0.172, 0.188, 0.376)
Li (0.188, 0.172, 0.876)
Li (0.812, 0.828, 0.124)
Li (0.828, 0.812, 0.624)
Cu (0.000, 0.000, 0.000)
Cu (0.000, 0.000, 0.500)
Cu (0.385, 0.388, 0.030)
Cu (0.388, 0.385, 0.530)
Cu (0.612, 0.615, 0.470)
Cu (0.615, 0.612, 0.970)
Se (0.157, 0.212, 0.097)
Se (0.212, 0.157, 0.597)
Se (0.390, 0.444, 0.293)
Se (0.444, 0.390, 0.793)
Se (0.556, 0.610, 0.207)
Se (0.610, 0.556, 0.707)
Se (0.788, 0.843, 0.403)
Se (0.843, 0.788, 0.903)
O (0.001, 0.656, 0.508)
O (0.088, 0.743, 0.990)
O (0.096, 0.465, 0.920)
O (0.151, 0.532, 0.734)
O (0.190, 0.644, 0.385)
O (0.193, 0.615, 0.189)
O (0.257, 0.912, 0.510)
O (0.341, 0.651, 0.632)
O (0.344, 0.999, 0.992)
O (0.349, 0.659, 0.868)
O (0.356, 0.810, 0.115)
O (0.385, 0.807, 0.311)
O (0.465, 0.096, 0.420)
O (0.468, 0.849, 0.766)
O (0.532, 0.151, 0.234)
O (0.535, 0.904, 0.580)
O (0.615, 0.193, 0.689)
O (0.644, 0.190, 0.885)
O (0.651, 0.341, 0.132)
O (0.656, 0.001, 0.008)
O (0.659, 0.349, 0.368)
O (0.743, 0.088, 0.490)
O (0.807, 0.385, 0.811)
O (0.810, 0.356, 0.615)
O (0.849, 0.468, 0.266)
O (0.904, 0.535, 0.080)
O (0.912, 0.257, 0.010)
O (0.999, 0.344, 0.492)

Largest 12 diffraction maxima, in order of rising 2θ, 2θ from 5° to 70°:
two_theta  d_spacing  Rel. int.
11.9  7.419  22
15.5  5.733  27
18.3  4.839  26
21.7  4.098  95
24.0  3.711  76
25.6  3.475  46
30.0  2.978  100
32.5  2.753  83
35.5  2.532  21
39.4  2.286  29
49.8  1.830  28
54.0  1.698  20



(3)
For Li2Cu4Si4O13, a crystal structure in the Materials Project, relaxed with PBE gives the theoretical XRD peak list in this record (a wavelength of 1.5418 Å).

Unit cell a=7.111 b=7.648 c=10.098 alpha=70.60 beta=87.37 gamma=84.76
Element x y z (fractional)
Li (0.205, 0.114, 0.386)
Li (0.239, 0.066, 0.926)
Li (0.761, 0.934, 0.074)
Li (0.795, 0.886, 0.614)
Cu (0.048, 0.716, 0.861)
Cu (0.092, 0.676, 0.499)
Cu (0.412, 0.322, 0.118)
Cu (0.440, 0.307, 0.485)
Cu (0.560, 0.693, 0.515)
Cu (0.588, 0.678, 0.882)
Cu (0.908, 0.324, 0.501)
Cu (0.952, 0.284, 0.139)
Si (0.052, 0.600, 0.215)
Si (0.284, 0.911, 0.671)
Si (0.289, 0.904, 0.211)
Si (0.388, 0.383, 0.779)
Si (0.612, 0.617, 0.221)
Si (0.711, 0.096, 0.789)
Si (0.716, 0.089, 0.329)
Si (0.948, 0.400, 0.785)
O (0.090, 0.508, 0.383)
O (0.106, 0.795, 0.645)
O (0.121, 0.463, 0.127)
O (0.147, 0.799, 0.145)
O (0.171, 0.329, 0.813)
O (0.233, 0.885, 0.837)
O (0.246, 0.862, 0.376)
O (0.259, 0.123, 0.115)
O (0.259, 0.128, 0.568)
O (0.416, 0.481, 0.610)
O (0.436, 0.485, 0.888)
O (0.496, 0.172, 0.824)
O (0.500, 0.189, 0.336)
O (0.500, 0.811, 0.664)
O (0.504, 0.828, 0.176)
O (0.564, 0.515, 0.112)
O (0.584, 0.519, 0.390)
O (0.741, 0.872, 0.432)
O (0.741, 0.877, 0.885)
O (0.754, 0.138, 0.624)
O (0.767, 0.115, 0.163)
O (0.829, 0.671, 0.187)
O (0.853, 0.201, 0.855)
O (0.879, 0.537, 0.873)
O (0.894, 0.205, 0.355)
O (0.910, 0.492, 0.617)

Largest 12 diffraction maxima, in order of rising 2θ, 2θ from 5° to 70°:
two_theta  d_spacing  Rel. int.
12.3  7.190  32
18.7  4.756  20
24.8  3.595  19
28.1  3.175  51
29.0  3.079  100
30.8  2.901  36
34.1  2.631  33
34.4  2.604  22
35.9  2.498  27
43.5  2.082  14
52.2  1.752  19
55.0  1.670  12



(4)
For Li4CuSi2O7, a crystal structure in the Materials Project, relaxed with PBE gives the theoretical XRD peak list in this record (a wavelength of 1.5418 Å).

Unit cell a=5.306 b=5.306 c=6.788 alpha=99.15 beta=99.15 gamma=50.29
Element x y z (fractional)
Li (0.146, 0.146, 0.435)
Li (0.282, 0.294, 0.855)
Li (0.706, 0.718, 0.145)
Li (0.854, 0.854, 0.565)
Cu (0.988, 0.012, 0.000)
Si (0.401, 0.448, 0.290)
Si (0.552, 0.599, 0.710)
O (0.076, 0.514, 0.345)
O (0.218, 0.682, 0.775)
O (0.318, 0.782, 0.225)
O (0.486, 0.924, 0.655)
O (0.589, 0.152, 0.113)
O (0.669, 0.331, 0.500)
O (0.848, 0.411, 0.887)

Largest 12 diffraction maxima, in order of rising 2θ, 2θ from 5° to 70°:
two_theta  d_spacing  Rel. int.
13.2  6.683  32
18.8  4.728  86
24.7  3.599  94
24.9  3.575  52
26.5  3.365  18
33.4  2.684  25
35.4  2.536  95
36.0  2.492  100
59.1  1.562  31
60.0  1.542  38
60.4  1.533  15
62.1  1.495  17



(5)
For Li2Cu2Si8O19, a crystal structure in the Materials Project, relaxed with PBE gives the theoretical XRD peak list in this record (a wavelength of 1.5418 Å).

Unit cell a=4.926 b=7.188 c=12.338 alpha=73.70 beta=78.57 gamma=70.20
Element x y z (fractional)
Li (0.000, 0.000, 0.000)
Li (0.218, 0.848, 0.734)
Cu (0.098, 0.416, 0.768)
Cu (0.489, 0.428, 0.960)
Si (0.290, 0.734, 0.295)
Si (0.423, 0.152, 0.193)
Si (0.530, 0.111, 0.435)
Si (0.693, 0.140, 0.786)
Si (0.829, 0.705, 0.944)
Si (0.888, 0.273, 0.533)
Si (0.906, 0.571, 0.197)
Si (0.981, 0.695, 0.536)
O (0.015, 0.685, 0.268)
O (0.087, 0.669, 0.657)
O (0.096, 0.516, 0.907)
O (0.128, 0.349, 0.191)
O (0.181, 0.160, 0.462)
O (0.235, 0.729, 0.430)
O (0.307, 0.955, 0.216)
O (0.362, 0.142, 0.793)
O (0.508, 0.701, 0.936)
O (0.584, 0.562, 0.257)
O (0.604, 0.122, 0.299)
O (0.616, 0.282, 0.473)
O (0.627, 0.178, 0.072)
O (0.688, 0.890, 0.512)
O (0.733, 0.331, 0.822)
O (0.882, 0.497, 0.537)
O (0.882, 0.721, 0.069)
O (0.887, 0.125, 0.661)
O (0.888, 0.923, 0.866)

Largest 12 diffraction maxima, in order of rising 2θ, 2θ from 5° to 70°:
two_theta  d_spacing  Rel. int.
13.5  6.579  67
16.9  5.248  82
19.9  4.459  100
22.7  3.922  31
23.6  3.775  36
25.9  3.437  97
27.6  3.234  65
27.7  3.221  63
29.1  3.070  35
30.3  2.946  33
30.4  2.938  61
37.3  2.411  34